Simulated X-ray powder pattern
Compound: Fe5Cl
Radiation: Cu Kα X-rays
Structure: a cell relaxed with PBE
Neutral-atom scattering factors, no anomalous dispersion.

Structural model:
```
data_Fe5Cl
_space_group_name_H-M_alt 'A m m 2'
_space_group_IT_number 38
_space_group_name_Hall 'A 2 -2'
_cell_length_a 4.070
_cell_length_b 2.900
_cell_length_c 13.295
_cell_angle_alpha 90.00
_cell_angle_beta 90.00
_cell_angle_gamma 90.00
loop_
_atom_site_label
_atom_site_fract_x
_atom_site_fract_y
_atom_site_fract_z
Fe1 0.000 0.000 0.000
Fe2 0.000 0.000 0.303
Fe3 0.000 0.000 0.652
Fe4 0.500 0.000 0.145
Fe5 0.500 0.000 0.791
Cl1 0.500 0.000 0.438
```

Top 8 peaks for 2θ from 5° to 70°, sorted by position:
d [Å], two_theta, intensity, index
6.647, 13.32, 133, 0 0 2
2.216, 40.72, 211, 0 0 6
2.084, 43.41, 1000, 1 1 3
2.035, 44.53, 260, 2 0 0
1.946, 46.68, 77, 1 0 6
1.766, 51.77, 78, 1 1 5
1.499, 61.91, 110, 2 0 6
1.450, 64.23, 79, 0 2 0

---

Simulated X-ray powder pattern
Compound: ZnCd2Cl
Radiation: Cu Kα X-rays
Structure: a cell relaxed with PBE
Neutral-atom scattering factors, no anomalous dispersion.

Structural model:
```
data_ZnCd2Cl
_space_group_name_H-M_alt 'R 3 m'
_space_group_IT_number 160
_space_group_name_Hall 'R 3 -2"'
_cell_length_a 3.5734
_cell_length_b 3.5734
_cell_length_c 24.3619
_cell_angle_alpha 90.00
_cell_angle_beta 90.00
_cell_angle_gamma 120.00
loop_
_atom_site_label
_atom_site_fract_x
_atom_site_fract_y
_atom_site_fract_z
Zn1 0.0000 0.0000 0.0000
Cd1 0.0000 0.0000 0.2565
Cd2 0.0000 0.0000 0.5019
Cl1 0.0000 0.0000 0.7353
```

Top 8 peaks for 2θ from 5° to 70°, sorted by position:
d [Å], two_theta, intensity, index
8.121, 10.89, 260, 0 0 3
3.070, 29.09, 102, 1 0 1
2.759, 32.45, 1000, 1 0 4
2.171, 41.61, 462, 0 1 8
2.030, 44.63, 112, 0 0 12
1.787, 51.12, 268, 1 1 0
1.500, 61.87, 143, 0 2 4
1.379, 67.95, 100, 2 0 8

---

Simulated X-ray powder pattern
Compound: HfTl6Br12
Radiation: Cu Kα X-rays
Structure: a cell relaxed with PBE
Neutral-atom scattering factors, no anomalous dispersion.

Structural model:
```
data_HfTl6Br12
_space_group_name_H-M_alt 'R -3'
_space_group_IT_number 148
_space_group_name_Hall '-R 3'
_cell_length_a 13.5958
_cell_length_b 13.5958
_cell_length_c 13.5632
_cell_angle_alpha 90.00
_cell_angle_beta 90.00
_cell_angle_gamma 120.00
loop_
_atom_site_label
_atom_site_fract_x
_atom_site_fract_y
_atom_site_fract_z
Hf1 0.0000 0.0000 0.0000
Tl1 0.0495 0.2721 0.6249
Br1 0.0369 0.2189 0.3896
Br2 0.0605 0.1796 0.8885
```

Top 8 peaks for 2θ from 5° to 70°, sorted by position:
d [Å], two_theta, intensity, index
4.521, 19.64, 268, 0 0 3
4.228, 21.01, 1000, 2 1 1
3.175, 28.11, 262, 1 3 1
2.941, 30.39, 368, 3 1 2
2.697, 33.22, 460, 2 1 4
2.569, 34.92, 479, 1 4 0
2.234, 40.38, 250, 5 -1 3
2.113, 42.79, 252, 3 2 4

---

Simulated X-ray powder pattern
Compound: CaNd2Ag2Ge2
Radiation: Cu Kα X-rays
Structure: a cell relaxed with PBE
Neutral-atom scattering factors, no anomalous dispersion.

Structural model:
```
data_CaNd2Ag2Ge2
_space_group_name_H-M_alt 'R -3 m'
_space_group_IT_number 166
_space_group_name_Hall '-R 3 2"'
_cell_length_a 4.6096
_cell_length_b 4.6096
_cell_length_c 28.5517
_cell_angle_alpha 90.00
_cell_angle_beta 90.00
_cell_angle_gamma 120.00
loop_
_atom_site_label
_atom_site_fract_x
_atom_site_fract_y
_atom_site_fract_z
Ca1 0.0000 0.0000 0.0000
Nd1 0.0000 0.0000 0.1267
Ag1 0.0000 0.0000 0.3984
Ge1 0.0000 0.0000 0.2569
```

Top 8 peaks for 2θ from 5° to 70°, sorted by position:
d [Å], two_theta, intensity, index
4.759, 18.65, 293, 0 0 6
3.484, 25.57, 498, 1 0 4
2.853, 31.35, 476, 1 0 7
2.661, 33.69, 942, 0 1 8
2.305, 39.08, 1000, 1 1 0
1.742, 52.53, 261, 2 0 8
1.468, 63.37, 322, 1 1 15
1.390, 67.38, 242, 1 2 8

---

Simulated X-ray powder pattern
Compound: Pr7Ho2Tm3
Radiation: Cu Kα X-rays
Structure: a cell relaxed with PBE
Neutral-atom scattering factors, no anomalous dispersion.

Structural model:
```
data_Pr7Ho2Tm3
_space_group_name_H-M_alt 'P 1 2/m 1'
_space_group_IT_number 10
_space_group_name_Hall '-P 2y'
_cell_length_a 5.826
_cell_length_b 3.641
_cell_length_c 19.485
_cell_angle_alpha 90.00
_cell_angle_beta 98.43
_cell_angle_gamma 90.00
loop_
_atom_site_label
_atom_site_fract_x
_atom_site_fract_y
_atom_site_fract_z
Pr1 0.000 0.000 0.000
Pr2 0.096 0.500 0.190
Pr3 0.267 0.500 0.535
Pr4 0.426 0.000 0.855
Ho1 0.350 0.500 0.701
Tm1 0.185 0.000 0.369
Tm2 0.500 0.500 0.000
```

Top 8 peaks for 2θ from 5° to 70°, sorted by position:
d [Å], two_theta, intensity, index
3.212, 27.77, 195, 0 0 6
3.003, 29.75, 467, 1 0 -6
2.910, 30.72, 874, 2 0 -1
2.867, 31.20, 1000, 1 1 2
2.693, 33.26, 331, 1 1 -4
2.646, 33.88, 199, 1 0 6
2.057, 44.02, 218, 2 1 3
1.673, 54.89, 204, 3 1 1

---

Simulated X-ray powder pattern
Compound: RbAs2Pt4
Radiation: Cu Kα X-rays
Structure: a cell relaxed with PBE
Neutral-atom scattering factors, no anomalous dispersion.

Structural model:
```
data_RbAs2Pt4
_space_group_name_H-M_alt 'C m m m'
_space_group_IT_number 65
_space_group_name_Hall '-C 2 2'
_cell_length_a 4.040
_cell_length_b 18.588
_cell_length_c 3.987
_cell_angle_alpha 90.00
_cell_angle_beta 90.00
_cell_angle_gamma 90.00
loop_
_atom_site_label
_atom_site_fract_x
_atom_site_fract_y
_atom_site_fract_z
Rb1 0.000 0.000 0.000
As1 0.000 0.386 0.500
Pt1 0.000 0.194 0.500
Pt2 0.000 0.309 0.000
```

Top 8 peaks for 2θ from 5° to 70°, sorted by position:
d [Å], two_theta, intensity, index
9.294, 9.52, 1000, 0 2 0
3.098, 28.82, 80, 0 6 0
2.580, 34.77, 430, 1 3 1
2.256, 39.97, 406, 1 5 1
2.020, 44.87, 117, 2 0 0
1.993, 45.50, 112, 0 0 2
1.939, 46.86, 132, 1 7 1
1.419, 65.82, 75, 2 0 2

---

> Number 4 is which compound?

CaNd2Ag2Ge2